[1]
This entry pairs a crystal structure of La3Ga5SnO14 with its calculated XRD peak list. Radiation: Cu Kα X-rays. Structure: DFT lattice parameters and positions (PBE).
Kinematic intensities with the Lorentz-polarization factor, no thermal factor.

Main lines, sorted by position (5° ≤ 2θ ≤ 70°):
two_theta, I_rel
24.62, 14
27.35, 64
30.06, 100
32.76, 22
34.37, 17
37.13, 16
45.20, 15
48.21, 26
48.63, 18
51.62, 13
58.35, 20
58.92, 15

Structural model:
```
data_La3Ga5SnO14
_chemical_formula_sum 'La3 Ga5 Sn1 O14'
_space_group_name_H-M_alt 'P 1'
_space_group_IT_number 1
_cell_length_a 8.352
_cell_length_b 8.352
_cell_length_c 5.218
_cell_angle_alpha 90.00
_cell_angle_beta 90.00
_cell_angle_gamma 120.00
loop_
_space_group_symop_operation_xyz
'x,y,z'
loop_
_atom_site_label
_atom_site_fract_x
_atom_site_fract_y
_atom_site_fract_z
_atom_site_occupancy
La1 0.000 0.427 0.000 1
La2 0.427 0.000 0.000 1
La3 0.573 0.573 0.000 1
Ga1 0.000 0.755 0.500 1
Ga2 0.245 0.245 0.500 1
Ga3 0.333 0.667 0.470 1
Ga4 0.667 0.333 0.530 1
Ga5 0.755 0.000 0.500 1
Sn1 0.000 0.000 0.000 1
O1 0.082 0.228 0.758 1
O2 0.144 0.684 0.302 1
O3 0.146 0.918 0.758 1
O4 0.228 0.082 0.242 1
O5 0.316 0.460 0.302 1
O6 0.333 0.667 0.819 1
O7 0.460 0.316 0.698 1
O8 0.540 0.856 0.302 1
O9 0.667 0.333 0.181 1
O10 0.684 0.144 0.698 1
O11 0.772 0.854 0.758 1
O12 0.854 0.772 0.242 1
O13 0.856 0.540 0.698 1
O14 0.918 0.146 0.242 1
```

---

[2]
This entry pairs a crystal structure of La3TaGa5O14 with its calculated XRD peak list. Radiation: Cu Kα X-rays. Structure: DFT lattice parameters and positions (PBE).
Kinematic intensities with the Lorentz-polarization factor, no thermal factor.

Main lines, sorted by position (5° ≤ 2θ ≤ 70°):
two_theta, I_rel
24.71, 18
27.30, 52
30.04, 100
32.88, 16
34.01, 18
37.15, 21
37.44, 14
42.49, 14
48.03, 22
48.72, 15
51.47, 14
58.47, 37

Structural model:
```
data_La3TaGa5O14
_chemical_formula_sum 'La3 Ta1 Ga5 O14'
_space_group_name_H-M_alt 'P 1'
_space_group_IT_number 1
_cell_length_a 8.321
_cell_length_b 8.321
_cell_length_c 5.273
_cell_angle_alpha 90.00
_cell_angle_beta 90.00
_cell_angle_gamma 120.00
loop_
_space_group_symop_operation_xyz
'x,y,z'
loop_
_atom_site_label
_atom_site_fract_x
_atom_site_fract_y
_atom_site_fract_z
_atom_site_occupancy
La1 0.000 0.426 0.000 1
La2 0.426 0.000 0.000 1
La3 0.574 0.574 0.000 1
Ta1 0.000 0.000 0.000 1
Ga1 0.000 0.756 0.500 1
Ga2 0.244 0.244 0.500 1
Ga3 0.333 0.667 0.469 1
Ga4 0.667 0.333 0.531 1
Ga5 0.756 0.000 0.500 1
O1 0.076 0.220 0.764 1
O2 0.143 0.683 0.302 1
O3 0.143 0.924 0.764 1
O4 0.220 0.076 0.236 1
O5 0.317 0.460 0.302 1
O6 0.333 0.667 0.817 1
O7 0.460 0.317 0.698 1
O8 0.540 0.857 0.302 1
O9 0.667 0.333 0.183 1
O10 0.683 0.143 0.698 1
O11 0.780 0.857 0.764 1
O12 0.857 0.540 0.698 1
O13 0.857 0.780 0.236 1
O14 0.924 0.143 0.236 1
```

---

[3]
This entry pairs a crystal structure of La6TaGa11O28 with its calculated XRD peak list. Radiation: Cu Kα X-rays. Structure: DFT lattice parameters and positions (PBE).
Kinematic intensities with the Lorentz-polarization factor, no thermal factor.

Main lines, sorted by position (5° ≤ 2θ ≤ 70°):
two_theta, I_rel
24.73, 14
27.52, 67
30.24, 100
32.92, 22
34.66, 18
37.34, 18
45.42, 15
48.55, 27
48.89, 20
51.97, 14
58.66, 17
59.41, 15

Structural model:
```
data_La6TaGa11O28
_chemical_formula_sum 'La6 Ta1 Ga11 O28'
_space_group_name_H-M_alt 'P 1'
_space_group_IT_number 1
_cell_length_a 9.793
_cell_length_b 9.793
_cell_length_c 10.352
_cell_angle_alpha 121.87
_cell_angle_beta 121.87
_cell_angle_gamma 50.17
loop_
_space_group_symop_operation_xyz
'x,y,z'
loop_
_atom_site_label
_atom_site_fract_x
_atom_site_fract_y
_atom_site_fract_z
_atom_site_occupancy
La1 0.000 0.000 0.000 1
La2 0.414 0.158 0.286 1
La3 0.419 0.162 0.791 1
La4 0.838 0.581 0.209 1
La5 0.842 0.586 0.714 1
La6 0.985 0.015 0.500 1
Ta1 0.415 0.585 0.500 1
Ga1 0.083 0.245 0.899 1
Ga2 0.083 0.254 0.403 1
Ga3 0.175 0.587 0.636 1
Ga4 0.177 0.578 0.121 1
Ga5 0.413 0.825 0.364 1
Ga6 0.418 0.582 0.000 1
Ga7 0.422 0.823 0.879 1
Ga8 0.652 0.340 0.755 1
Ga9 0.660 0.348 0.245 1
Ga10 0.746 0.917 0.597 1
Ga11 0.755 0.917 0.101 1
O1 0.078 0.253 0.575 1
O2 0.088 0.249 0.079 1
O3 0.101 0.435 0.917 1
O4 0.106 0.441 0.426 1
O5 0.193 0.723 0.573 1
O6 0.199 0.729 0.087 1
O7 0.270 0.044 0.306 1
O8 0.271 0.801 0.913 1
O9 0.275 0.038 0.809 1
O10 0.277 0.807 0.427 1
O11 0.333 0.446 0.274 1
O12 0.349 0.436 0.768 1
O13 0.486 0.366 0.048 1
O14 0.501 0.362 0.546 1
O15 0.554 0.667 0.726 1
O16 0.559 0.894 0.574 1
O17 0.564 0.651 0.232 1
O18 0.565 0.899 0.083 1
O19 0.634 0.514 0.952 1
O20 0.638 0.499 0.454 1
O21 0.726 0.122 0.779 1
O22 0.735 0.129 0.275 1
O23 0.747 0.922 0.425 1
O24 0.751 0.912 0.921 1
O25 0.871 0.265 0.725 1
O26 0.878 0.274 0.221 1
O27 0.956 0.730 0.694 1
O28 0.962 0.725 0.191 1
```

---

[4]
This entry pairs a crystal structure of La5Ga2Os with its calculated XRD peak list. Radiation: Cu Kα X-rays. Structure: DFT lattice parameters and positions (PBE).
Kinematic intensities with the Lorentz-polarization factor, no thermal factor.

Main lines, sorted by position (5° ≤ 2θ ≤ 70°):
two_theta, I_rel
13.06, 22
26.11, 40
28.88, 26
29.80, 79
30.86, 21
31.03, 25
31.19, 46
32.43, 100
34.81, 45
37.80, 57
49.80, 35
51.07, 24

Structural model:
```
data_La5Ga2Os
_chemical_formula_sum 'La10 Ga4 Os2'
_space_group_name_H-M_alt 'P 1'
_space_group_IT_number 1
_cell_length_a 8.132
_cell_length_b 12.260
_cell_length_c 4.760
_cell_angle_alpha 90.00
_cell_angle_beta 90.00
_cell_angle_gamma 90.00
loop_
_space_group_symop_operation_xyz
'x,y,z'
loop_
_atom_site_label
_atom_site_fract_x
_atom_site_fract_y
_atom_site_fract_z
_atom_site_occupancy
La1 0.000 0.000 0.000 1
La2 0.147 0.296 0.000 1
La3 0.186 0.572 0.500 1
La4 0.314 0.072 0.500 1
La5 0.353 0.796 0.000 1
La6 0.500 0.500 0.000 1
La7 0.647 0.204 0.000 1
La8 0.686 0.928 0.500 1
La9 0.814 0.428 0.500 1
La10 0.853 0.704 0.000 1
Ga1 0.069 0.834 0.500 1
Ga2 0.431 0.334 0.500 1
Ga3 0.569 0.666 0.500 1
Ga4 0.931 0.166 0.500 1
Os1 0.000 0.500 0.000 1
Os2 0.500 0.000 0.000 1
```

---

[5]
This entry pairs a crystal structure of LaGa8Os2 with its calculated XRD peak list. Radiation: Cu Kα X-rays. Structure: DFT lattice parameters and positions (PBE).
Kinematic intensities with the Lorentz-polarization factor, no thermal factor.

Main lines, sorted by position (5° ≤ 2θ ≤ 70°):
two_theta, I_rel
16.72, 15
19.64, 14
25.90, 100
31.28, 17
36.69, 13
39.88, 56
42.41, 16
44.38, 95
48.16, 38
55.84, 12
57.67, 13
63.06, 15

Structural model:
```
data_LaGa8Os2
_chemical_formula_sum 'La1 Ga8 Os2'
_space_group_name_H-M_alt 'P 1'
_space_group_IT_number 1
_cell_length_a 6.394
_cell_length_b 6.394
_cell_length_c 5.303
_cell_angle_alpha 90.00
_cell_angle_beta 90.00
_cell_angle_gamma 90.00
loop_
_space_group_symop_operation_xyz
'x,y,z'
loop_
_atom_site_label
_atom_site_fract_x
_atom_site_fract_y
_atom_site_fract_z
_atom_site_occupancy
La1 0.000 0.000 0.000 1
Ga1 0.292 0.292 0.251 1
Ga2 0.292 0.292 0.749 1
Ga3 0.292 0.708 0.251 1
Ga4 0.292 0.708 0.749 1
Ga5 0.708 0.292 0.251 1
Ga6 0.708 0.292 0.749 1
Ga7 0.708 0.708 0.251 1
Ga8 0.708 0.708 0.749 1
Os1 0.000 0.500 0.500 1
Os2 0.500 0.000 0.500 1
```

---

[6]
This entry pairs a crystal structure of LaGa4OsPd2 with its calculated XRD peak list. Radiation: Cu Kα X-rays. Structure: DFT lattice parameters and positions (PBE).
Kinematic intensities with the Lorentz-polarization factor, no thermal factor.

Main lines, sorted by position (5° ≤ 2θ ≤ 70°):
two_theta, I_rel
9.72, 62
24.78, 12
27.28, 33
35.69, 89
39.63, 8
41.00, 10
42.03, 100
43.24, 10
43.85, 35
56.29, 24
59.13, 15
62.35, 12

Structural model:
```
data_LaGa4OsPd2
_chemical_formula_sum 'La1 Ga4 Os1 Pd2'
_space_group_name_H-M_alt 'P 1'
_space_group_IT_number 1
_cell_length_a 9.430
_cell_length_b 9.430
_cell_length_c 9.430
_cell_angle_alpha 26.36
_cell_angle_beta 26.36
_cell_angle_gamma 26.36
loop_
_space_group_symop_operation_xyz
'x,y,z'
loop_
_atom_site_label
_atom_site_fract_x
_atom_site_fract_y
_atom_site_fract_z
_atom_site_occupancy
La1 0.000 0.000 0.000 1
Ga1 0.135 0.135 0.135 1
Ga2 0.403 0.403 0.403 1
Ga3 0.597 0.597 0.597 1
Ga4 0.865 0.865 0.865 1
Os1 0.500 0.500 0.500 1
Pd1 0.234 0.234 0.234 1
Pd2 0.766 0.766 0.766 1
```

---

[7]
This entry pairs a crystal structure of LaGa2P2 with its calculated XRD peak list. Radiation: Cu Kα X-rays. Structure: DFT lattice parameters and positions (PBE).
Kinematic intensities with the Lorentz-polarization factor, no thermal factor.

Main lines, sorted by position (5° ≤ 2θ ≤ 70°):
two_theta, I_rel
21.07, 12
26.14, 76
33.39, 41
36.15, 100
37.30, 73
52.92, 66
53.77, 25
56.22, 8
60.74, 15
64.79, 12
66.52, 16
69.42, 9

Structural model:
```
data_LaGa2P2
_chemical_formula_sum 'La1 Ga2 P2'
_space_group_name_H-M_alt 'P 1'
_space_group_IT_number 1
_cell_length_a 5.526
_cell_length_b 5.526
_cell_length_c 5.526
_cell_angle_alpha 128.27
_cell_angle_beta 128.27
_cell_angle_gamma 76.19
loop_
_space_group_symop_operation_xyz
'x,y,z'
loop_
_atom_site_label
_atom_site_fract_x
_atom_site_fract_y
_atom_site_fract_z
_atom_site_occupancy
La1 0.000 0.000 0.000 1
Ga1 0.353 0.353 0.000 1
Ga2 0.647 0.647 0.000 1
P1 0.250 0.750 0.500 1
P2 0.750 0.250 0.500 1
```